1.
Calculated PXRD pattern
Compound: Ce4GeI4
Radiation: Cu Kα (weighted mean of Kα1 and Kα2)
Structure: DFT lattice parameters and positions (GGA-PBE)

Structural model:
Cell lengths 7.5833, 7.5833, 12.3005 Å; angles 90.00, 90.00, 90.00 degrees
Space group I-42m (No. 121)
Inequivalent atoms, fractional coordinates:
Ce (0.1984, 0.1984, 0.1493) (multiplicity 8)
Ge (0.0000, 0.0000, 0.0000) (multiplicity 2)
I (0.0000, 0.0000, 0.3432) (multiplicity 4)
I (0.0000, 0.5000, 0.0000) (multiplicity 4)

Main lines, in order of falling intensity (10 to 80 degrees two-theta):
Position (°2θ)	d_spacing	I/Imax	h k l
21.99	4.042	100	1 1 2
33.42	2.681	48	2 2 0
34.32	2.613	45	2 1 3
41.99	2.152	34	3 0 3
27.28	3.269	33	2 1 1
33.60	2.668	26	1 1 4
27.64	3.228	24	2 0 2
37.66	2.388	21	2 0 4

---

2.
Calculated PXRD pattern
Compound: KNaZnP2O7
Radiation: Cu Kα (weighted mean of Kα1 and Kα2)
Structure: DFT lattice parameters and positions (GGA-PBE)

Structural model:
Cell lengths 7.5789, 7.3575, 14.8215 Å; angles 90.00, 120.07, 90.00 degrees
Space group P2_1/c (No. 14)
Inequivalent atoms, fractional coordinates:
K (0.2093, 0.2050, 0.1053) (multiplicity 4)
Na (0.2599, 0.0233, 0.8870) (multiplicity 4)
Zn (0.2103, 0.5205, 0.8782) (multiplicity 4)
P (0.1719, 0.7186, 0.1994) (multiplicity 4)
P (0.4253, 0.7137, 0.0988) (multiplicity 4)
O (0.0355, 0.6389, 0.6224) (multiplicity 4)
O (0.0845, 0.5231, 0.1778) (multiplicity 4)
O (0.2501, 0.7390, 0.8156) (multiplicity 4)
O (0.3027, 0.5545, 0.0271) (multiplicity 4)
O (0.3413, 0.1818, 0.3473) (multiplicity 4)
O (0.3704, 0.5984, 0.5509) (multiplicity 4)
O (0.3862, 0.7040, 0.1977) (multiplicity 4)

Main lines, in order of falling intensity (10 to 80 degrees two-theta):
Position (°2θ)	d_spacing	I/Imax	h k l
27.85	3.203	100	0 0 4
26.46	3.369	38	2 1 -2
27.19	3.279	31	2 0 0
13.87	6.383	27	0 1 1
26.94	3.309	27	1 1 -4
34.17	2.624	23	1 2 2
21.90	4.059	21	1 1 -3
13.64	6.491	18	1 0 -2

---

3.
Calculated PXRD pattern
Compound: TbEr5Al3
Radiation: Cu Kα (weighted mean of Kα1 and Kα2)
Structure: DFT lattice parameters and positions (GGA-PBE)

Structural model:
Cell lengths 9.0140, 9.0140, 6.5909 Å; angles 90.00, 90.00, 120.00 degrees
Space group P6_3/mcm (No. 193)
Inequivalent atoms, fractional coordinates:
Tb (0.0000, 0.0000, 0.0000) (multiplicity 2)
Er (0.0000, 0.3333, 0.2500) (multiplicity 6)
Er (0.3333, 0.6667, 0.0000) (multiplicity 4)
Al (0.0000, 0.3351, 0.7500) (multiplicity 6)

Main lines, in order of falling intensity (10 to 80 degrees two-theta):
Position (°2θ)	d_spacing	I/Imax	h k l
33.69	2.660	100	1 1 2
34.47	2.602	89	3 0 0
23.92	3.720	50	1 1 1
61.25	1.513	36	4 1 2
48.97	1.860	35	2 2 2
67.25	1.392	26	3 0 4
55.76	1.649	18	0 0 4
61.75	1.502	16	3 3 0

---

4.
Calculated PXRD pattern
Compound: CaThCo4
Radiation: Cu Kα (weighted mean of Kα1 and Kα2)
Structure: DFT lattice parameters and positions (GGA-PBE)

Structural model:
Cell lengths 7.2204, 7.2204, 7.2204 Å; angles 90.00, 90.00, 90.00 degrees
Space group F-43m (No. 216)
Inequivalent atoms, fractional coordinates:
Ca (0.0000, 0.0000, 0.0000) (multiplicity 4)
Th (0.2500, 0.2500, 0.2500) (multiplicity 4)
Co (0.1248, 0.1248, 0.6248) (multiplicity 16)

Main lines, in order of falling intensity (10 to 80 degrees two-theta):
Position (°2θ)	d_spacing	I/Imax	h k l
41.48	2.177	100	3 1 1
35.15	2.553	49	2 2 0
21.31	4.169	32	1 1 1
67.39	1.390	31	3 3 3
24.66	3.610	27	2 0 0
43.41	2.084	24	2 2 2
74.31	1.276	19	4 4 0
63.08	1.474	18	4 2 2

---

5.
Calculated PXRD pattern
Compound: SmNp3Se6
Radiation: Cu Kα (weighted mean of Kα1 and Kα2)
Structure: DFT lattice parameters and positions (GGA-PBE)

Structural model:
Cell lengths 11.4832, 4.1243, 12.0645 Å; angles 90.00, 107.91, 90.00 degrees
Space group P2_1/m (No. 11)
Inequivalent atoms, fractional coordinates:
Sm (0.0462, 0.2500, 0.1943) (multiplicity 2)
Np (0.1551, 0.2500, 0.5799) (multiplicity 2)
Np (0.3161, 0.7500, 0.9984) (multiplicity 2)
Np (0.4331, 0.2500, 0.3351) (multiplicity 2)
Se (0.0871, 0.7500, 0.4026) (multiplicity 2)
Se (0.1154, 0.2500, 0.9629) (multiplicity 2)
Se (0.1926, 0.7500, 0.7469) (multiplicity 2)
Se (0.2569, 0.7500, 0.2250) (multiplicity 2)
Se (0.3958, 0.2500, 0.5602) (multiplicity 2)
Se (0.4852, 0.2500, 0.1172) (multiplicity 2)

Main lines, in order of falling intensity (10 to 80 degrees two-theta):
Position (°2θ)	d_spacing	I/Imax	h k l
25.13	3.543	100	1 1 1
29.59	3.019	96	2 1 1
23.24	3.827	95	3 0 -1
40.57	2.224	88	4 1 -3
32.80	2.730	80	3 1 0
43.91	2.062	79	0 2 0
22.13	4.017	68	1 0 -3
41.19	2.192	47	1 1 4

---

6.
Calculated PXRD pattern
Compound: PmScS2
Radiation: Cu Kα (weighted mean of Kα1 and Kα2)
Structure: DFT lattice parameters and positions (GGA-PBE)

Structural model:
Cell lengths 3.7172, 3.7172, 6.9491 Å; angles 90.00, 90.00, 120.00 degrees
Space group P-3m1 (No. 164)
Inequivalent atoms, fractional coordinates:
Pm (0.0000, 0.0000, 0.0000) (multiplicity 1)
Sc (0.0000, 0.0000, 0.5000) (multiplicity 1)
S (0.3333, 0.6667, 0.7219) (multiplicity 2)

Main lines, in order of falling intensity (10 to 80 degrees two-theta):
Position (°2θ)	d_spacing	I/Imax	h k l
38.11	2.361	100	0 1 2
27.71	3.219	59	1 0 0
30.61	2.921	54	1 0 1
12.74	6.949	35	0 0 1
49.01	1.859	31	1 1 0
63.72	1.460	21	2 0 2
25.64	3.475	16	0 0 2
74.81	1.269	15	1 1 4

---

7.
Calculated PXRD pattern
Compound: Zr3UAs4
Radiation: Cu Kα (weighted mean of Kα1 and Kα2)
Structure: DFT lattice parameters and positions (GGA-PBE)

Structural model:
Cell lengths 6.7921, 7.8459, 6.7905 Å; angles 90.00, 109.53, 90.00 degrees
Space group P2/c (No. 13)
Inequivalent atoms, fractional coordinates:
Zr (0.0000, 0.1204, 0.2500) (multiplicity 2)
Zr (0.0000, 0.3688, 0.7500) (multiplicity 2)
Zr (0.5000, 0.1245, 0.7500) (multiplicity 2)
U (0.5000, 0.3757, 0.2500) (multiplicity 2)
As (0.2419, 0.3716, 0.4977) (multiplicity 4)
As (0.2483, 0.1220, 0.0000) (multiplicity 4)

Main lines, in order of falling intensity (10 to 80 degrees two-theta):
Position (°2θ)	d_spacing	I/Imax	h k l
32.29	2.773	100	1 2 1
46.31	1.961	73	2 0 2
76.88	1.240	32	3 2 -5
57.58	1.601	25	0 0 4
67.57	1.386	12	4 0 -4
27.87	3.202	11	2 0 0
17.88	4.960	7	1 1 0
54.91	1.672	5	4 0 -2

---

8.
Calculated PXRD pattern
Compound: V12Cr6Tc
Radiation: Cu Kα (weighted mean of Kα1 and Kα2)
Structure: DFT lattice parameters and positions (GGA-PBE)

Structural model:
Cell lengths 8.8092, 8.8092, 11.4180 Å; angles 90.00, 90.00, 120.00 degrees
Space group R-3 (No. 148, hexagonal axes)
Inequivalent atoms, fractional coordinates:
V (0.0562, 0.1900, 0.3040) (multiplicity 18)
V (0.0651, 0.8368, 0.9160) (multiplicity 18)
Cr (0.0238, 0.4396, 0.2051) (multiplicity 18)
Tc (0.0000, 0.0000, 0.5000) (multiplicity 3)

Main lines, in order of falling intensity (10 to 80 degrees two-theta):
Position (°2θ)	d_spacing	I/Imax	h k l
43.50	2.080	100	1 3 1
45.73	1.984	84	4 -1 2
42.77	2.114	75	0 3 3
41.27	2.188	70	0 1 5
44.67	2.029	64	3 -1 4
32.01	2.796	29	2 1 1
13.96	6.343	28	1 0 1
47.71	1.906	24	2 2 3